Starting from a DFT-relaxed cell (GGA-PBE, Alexandria), the powder XRD pattern of Ac3PrS3 was calculated for CuKα.

a b c (Å): 5.977 5.977 5.977
angles (deg): 90.00 90.00 90.00
Sites, in units of the cell vectors:
Ac1 0.000 0.000 0.500
Ac2 0.000 0.500 0.000
Ac3 0.500 0.000 0.000
Pr1 0.500 0.500 0.500
S1 0.000 0.500 0.500
S2 0.500 0.000 0.500
S3 0.500 0.500 0.000

Most intense lines, 5 to 70 degrees two-theta, by angle:
2theta, I (rel.)
21.02, 64
25.82, 1000
29.90, 875
36.83, 31
42.79, 661
50.65, 513
53.08, 236
57.71, 17
62.12, 110
68.42, 213

Starting from a DFT-relaxed cell (GGA-PBE, Alexandria), the powder XRD pattern of AcPrSm4S8 was calculated for CuKα.

a b c (Å): 8.376 8.376 8.376
angles (deg): 59.72 59.72 59.72
Sites, in units of the cell vectors:
Ac1 0.000 0.000 0.000
Pr1 0.623 0.623 0.623
Sm1 0.131 0.624 0.624
Sm2 0.251 0.251 0.251
Sm3 0.624 0.131 0.624
Sm4 0.624 0.624 0.131
S1 0.378 0.378 0.858
S2 0.378 0.858 0.378
S3 0.383 0.383 0.383
S4 0.414 0.865 0.865
S5 0.858 0.378 0.378
S6 0.862 0.862 0.862
S7 0.865 0.414 0.865
S8 0.865 0.865 0.414

Most intense lines, 5 to 70 degrees two-theta, by angle:
2theta, I (rel.)
21.26, 458
24.97, 1000
25.03, 344
30.25, 160
37.31, 162
39.60, 379
39.68, 204
43.21, 370
43.40, 370
60.22, 209

Starting from a DFT-relaxed cell (GGA-PBE, Alexandria), the powder XRD pattern of Ac3PrSb4 was calculated for CuKα.

a b c (Å): 9.488 13.408 4.744
angles (deg): 90.00 90.00 90.00
Sites, in units of the cell vectors:
Ac1 0.000 0.000 0.000
Ac2 0.250 0.250 0.500
Ac3 0.250 0.750 0.500
Ac4 0.500 0.500 0.000
Ac5 0.750 0.250 0.500
Ac6 0.750 0.750 0.500
Pr1 0.000 0.500 0.000
Pr2 0.500 0.000 0.000
Sb1 0.000 0.254 0.000
Sb2 0.000 0.746 0.000
Sb3 0.242 0.500 0.500
Sb4 0.258 0.000 0.500
Sb5 0.500 0.246 0.000
Sb6 0.500 0.754 0.000
Sb7 0.742 0.000 0.500
Sb8 0.758 0.500 0.500

Most intense lines, 5 to 70 degrees two-theta, by angle:
2theta, I (rel.)
21.98, 13
22.97, 112
26.58, 1000
37.94, 786
44.82, 65
46.93, 287
54.74, 136
60.13, 30
61.86, 377
68.54, 278

Starting from a DFT-relaxed cell (GGA-PBE, Alexandria), the powder XRD pattern of Ac2PrSb3 was calculated for CuKα.

a b c (Å): 8.179 8.179 15.656
angles (deg): 110.35 110.35 70.50
Sites, in units of the cell vectors:
Ac1 0.042 0.792 0.585
Ac2 0.124 0.374 0.748
Ac3 0.208 0.958 0.915
Ac4 0.374 0.124 0.248
Ac5 0.626 0.876 0.752
Ac6 0.792 0.042 0.085
Ac7 0.876 0.626 0.252
Ac8 0.958 0.208 0.415
Pr1 0.292 0.541 0.083
Pr2 0.459 0.708 0.417
Pr3 0.541 0.292 0.583
Pr4 0.708 0.459 0.917
Sb1 0.040 0.299 0.080
Sb2 0.134 0.866 0.250
Sb3 0.219 0.460 0.420
Sb4 0.299 0.040 0.580
Sb5 0.384 0.616 0.750
Sb6 0.460 0.219 0.920
Sb7 0.540 0.781 0.080
Sb8 0.616 0.384 0.250
Sb9 0.701 0.960 0.420
Sb10 0.781 0.540 0.580
Sb11 0.866 0.134 0.750
Sb12 0.960 0.701 0.920

Most intense lines, 5 to 70 degrees two-theta, by angle:
2theta, I (rel.)
11.90, 12
23.07, 99
26.70, 1000
38.12, 783
45.03, 58
47.15, 285
55.00, 135
60.43, 26
62.17, 372
68.88, 273

Starting from a DFT-relaxed cell (GGA-PBE, Alexandria), the powder XRD pattern of AcPr4Se6 was calculated for CuKα.

a b c (Å): 7.320 7.320 21.604
angles (deg): 90.00 90.00 146.25
Sites, in units of the cell vectors:
Ac1 0.159 0.841 0.750
Ac2 0.841 0.159 0.250
Pr1 0.092 0.908 0.126
Pr2 0.092 0.908 0.374
Pr3 0.359 0.641 0.039
Pr4 0.359 0.641 0.461
Pr5 0.641 0.359 0.539
Pr6 0.641 0.359 0.961
Pr7 0.908 0.092 0.626
Pr8 0.908 0.092 0.874
Se1 0.000 0.000 0.000
Se2 0.000 0.000 0.500
Se3 0.182 0.818 0.250
Se4 0.267 0.733 0.593
Se5 0.267 0.733 0.907
Se6 0.451 0.549 0.166
Se7 0.451 0.549 0.334
Se8 0.549 0.451 0.666
Se9 0.549 0.451 0.834
Se10 0.733 0.267 0.093
Se11 0.733 0.267 0.407
Se12 0.818 0.182 0.750

Most intense lines, 5 to 70 degrees two-theta, by angle:
2theta, I (rel.)
24.20, 465
27.86, 329
28.70, 336
29.60, 1000
31.05, 487
40.08, 369
42.13, 594
42.55, 339
49.56, 218
61.46, 219

Starting from a DFT-relaxed cell (GGA-PBE, Alexandria), the powder XRD pattern of Ac2PrSe3 was calculated for CuKα.

a b c (Å): 14.476 13.803 7.648
angles (deg): 79.23 69.50 31.27
Sites, in units of the cell vectors:
Ac1 0.042 0.042 0.208
Ac2 0.124 0.124 0.626
Ac3 0.208 0.208 0.042
Ac4 0.374 0.374 0.876
Ac5 0.626 0.626 0.124
Ac6 0.792 0.792 0.958
Ac7 0.876 0.876 0.374
Ac8 0.958 0.958 0.792
Pr1 0.292 0.292 0.458
Pr2 0.458 0.458 0.292
Pr3 0.542 0.542 0.708
Pr4 0.708 0.708 0.542
Se1 0.040 0.540 0.218
Se2 0.134 0.616 0.616
Se3 0.218 0.702 0.040
Se4 0.298 0.782 0.460
Se5 0.384 0.866 0.866
Se6 0.460 0.960 0.298
Se7 0.540 0.040 0.702
Se8 0.616 0.134 0.134
Se9 0.702 0.218 0.540
Se10 0.782 0.298 0.960
Se11 0.866 0.384 0.384
Se12 0.960 0.460 0.782

Most intense lines, 5 to 70 degrees two-theta, by angle:
2theta, I (rel.)
24.62, 166
24.95, 161
28.70, 1000
40.63, 131
41.02, 511
41.46, 125
50.49, 141
51.18, 135
59.45, 86
67.29, 238

Starting from a DFT-relaxed cell (GGA-PBE, Alexandria), the powder XRD pattern of AcPr4SmSe8 was calculated for CuKα.

a b c (Å): 8.792 8.792 8.792
angles (deg): 60.26 60.26 60.26
Sites, in units of the cell vectors:
Ac1 0.000 0.000 0.000
Pr1 0.130 0.622 0.622
Pr2 0.248 0.248 0.248
Pr3 0.622 0.130 0.622
Pr4 0.622 0.622 0.130
Sm1 0.623 0.623 0.623
Se1 0.380 0.380 0.380
Se2 0.385 0.385 0.852
Se3 0.385 0.852 0.385
Se4 0.411 0.860 0.860
Se5 0.852 0.385 0.385
Se6 0.860 0.411 0.860
Se7 0.860 0.860 0.411
Se8 0.863 0.863 0.863

Most intense lines, 5 to 70 degrees two-theta, by angle:
2theta, I (rel.)
20.16, 491
23.67, 1000
23.75, 347
28.66, 528
35.25, 167
37.49, 593
40.90, 677
41.06, 680
56.68, 209
59.35, 215

Starting from a DFT-relaxed cell (GGA-PBE, Alexandria), the powder XRD pattern of Ac3PrSm3Se8 was calculated for CuKα.

a b c (Å): 8.688 8.688 8.688
angles (deg): 58.75 58.75 58.75
Sites, in units of the cell vectors:
Ac1 0.000 0.500 0.500
Ac2 0.500 0.000 0.500
Ac3 0.500 0.500 0.000
Pr1 0.500 0.500 0.500
Sm1 0.000 0.000 0.500
Sm2 0.000 0.500 0.000
Sm3 0.500 0.000 0.000
Se1 0.236 0.751 0.751
Se2 0.244 0.244 0.244
Se3 0.249 0.249 0.764
Se4 0.249 0.764 0.249
Se5 0.751 0.236 0.751
Se6 0.751 0.751 0.236
Se7 0.756 0.756 0.756
Se8 0.764 0.249 0.249

Most intense lines, 5 to 70 degrees two-theta, by angle:
2theta, I (rel.)
12.68, 71
14.56, 75
25.52, 147
29.36, 1000
41.59, 384
42.42, 369
52.43, 198
60.92, 124
68.45, 172
69.64, 169

Starting from a DFT-relaxed cell (GGA-PBE, Alexandria), the powder XRD pattern of Ac2PrTmSe5 was calculated for CuKα.

a b c (Å): 5.095 5.095 11.118
angles (deg): 90.00 90.00 90.00
Sites, in units of the cell vectors:
Ac1 0.000 0.000 0.213
Ac2 0.000 0.000 0.787
Pr1 0.500 0.500 0.500
Tm1 0.500 0.500 0.000
Se1 0.000 0.000 0.500
Se2 0.000 0.500 0.000
Se3 0.500 0.000 0.000
Se4 0.500 0.500 0.249
Se5 0.500 0.500 0.751

Most intense lines, 5 to 70 degrees two-theta, by angle:
2theta, I (rel.)
7.95, 390
23.69, 679
24.71, 1000
32.21, 351
34.73, 305
35.23, 772
41.01, 328
42.90, 298
48.47, 447
50.68, 276

Starting from a DFT-relaxed cell (GGA-PBE, Alexandria), the powder XRD pattern of AcPr2TmSe4 was calculated for CuKα.

a b c (Å): 7.317 4.174 7.564
angles (deg): 90.00 108.36 90.00
Sites, in units of the cell vectors:
Ac1 0.000 0.000 0.000
Pr1 0.500 0.000 0.500
Pr2 0.500 0.500 0.000
Tm1 0.000 0.500 0.500
Se1 0.236 0.000 0.728
Se2 0.249 0.500 0.268
Se3 0.751 0.500 0.732
Se4 0.764 0.000 0.272

Most intense lines, 5 to 70 degrees two-theta, by angle:
2theta, I (rel.)
24.81, 73
25.96, 117
29.65, 1000
41.49, 130
41.87, 255
42.95, 244
43.35, 119
53.39, 130
61.57, 83
69.00, 111